(1)
Diffraction record for AlInHgBr4. The powder XRD pattern is computed, not measured: it uses the PBE geometry in Alexandria and CuKα.
Lines closer than 0.1° are merged.

Largest 12 diffraction maxima, sorted by position, 10 to 90 degrees two-theta:
2theta, Rel. int.
16.96, 100.0
26.15, 46.9
26.60, 74.6
26.74, 37.9
27.54, 57.5
31.89, 36.0
32.18, 24.4
34.14, 40.4
34.30, 22.9
35.84, 23.9
40.59, 38.4
54.14, 24.6

Cell and atoms:
```
14
Lattice="6.311 -5.228 0.000 6.311 5.228 0.000 -2.684 0.000 9.523" Properties=species:S:1:pos:R:3 pbc="T T T"
Al 1.258 0.000 2.528
Al 8.680 0.000 6.996
In 0.792 0.000 8.633
In 9.145 0.000 0.890
Hg 5.628 0.000 1.738
Hg 4.310 0.000 7.785
Br 1.797 3.380 8.348
Br -1.651 0.000 6.619
Br 2.439 0.000 4.490
Br 8.141 3.380 1.175
Br 1.797 -3.380 8.348
Br 7.499 0.000 5.033
Br 11.589 0.000 2.904
Br 8.141 -3.380 1.175
```

=====

(2)
Diffraction record for KAlHgBr4. The powder XRD pattern is computed, not measured: it uses the PBE geometry in Alexandria and CuKα.
Lines closer than 0.1° are merged.

Largest 12 diffraction maxima, sorted by position, 10 to 90 degrees two-theta:
2theta, Rel. int.
10.62, 23.3
13.30, 28.3
16.60, 41.2
21.68, 42.5
24.80, 76.4
25.90, 48.1
26.79, 53.5
27.97, 100.0
31.34, 63.5
32.23, 54.1
39.11, 80.3
48.87, 26.2

Cell and atoms:
```
14
Lattice="-3.977 5.342 6.657 3.977 -5.342 6.657 3.977 5.342 -6.657" Properties=species:S:1:pos:R:3 pbc="T T T"
K 0.000 0.000 0.000
K 0.000 5.342 0.000
Al 3.977 2.671 1.766
Al 0.000 2.671 4.890
Hg 1.989 2.671 -3.328
Hg 1.989 -2.671 3.328
Br 2.094 2.671 0.342
Br 5.861 2.671 0.342
Br 3.977 0.711 2.981
Br 0.000 0.711 3.675
Br 3.977 4.631 2.981
Br 0.000 4.631 3.675
Br -1.884 2.671 6.315
Br 1.884 2.671 6.315
```

=====

(3)
Diffraction record for Al2HgBrN. The powder XRD pattern is computed, not measured: it uses the PBE geometry in Alexandria and CuKα.
Lines closer than 0.1° are merged.

Largest 12 diffraction maxima, sorted by position, 10 to 90 degrees two-theta:
2theta, Rel. int.
16.56, 23.6
23.51, 65.1
28.47, 100.0
33.11, 32.8
33.49, 56.3
44.51, 61.0
48.08, 20.1
53.18, 14.3
54.19, 13.5
56.83, 15.0
58.91, 21.8
67.59, 18.1

Cell and atoms:
```
5
Lattice="5.352 0.000 0.000 0.000 5.352 0.000 0.000 0.000 3.869" Properties=species:S:1:pos:R:3 pbc="T T T"
Al 0.000 2.676 0.000
Al 2.676 0.000 0.000
Hg 0.000 0.000 1.934
Br 2.676 2.676 0.000
N 2.676 2.676 1.934
```

=====

(4)
Diffraction record for Rb2AlHgBr6. The powder XRD pattern is computed, not measured: it uses the PBE geometry in Alexandria and CuKα.
Lines closer than 0.1° are merged.

Largest 12 diffraction maxima, sorted by position, 10 to 90 degrees two-theta:
2theta, Rel. int.
15.98, 52.3
22.68, 56.0
26.66, 45.6
27.87, 68.4
32.22, 48.8
32.33, 97.0
35.28, 45.7
36.23, 23.2
39.82, 22.3
46.31, 100.0
57.58, 33.0
76.96, 26.1

Cell and atoms:
```
10
Lattice="-3.917 3.917 5.557 3.917 -3.917 5.557 3.917 3.917 -5.557" Properties=species:S:1:pos:R:3 pbc="T T T"
Rb 3.917 0.000 2.778
Rb 0.000 3.917 2.778
Al 0.000 0.000 0.000
Hg 0.000 0.000 5.557
Br 0.000 0.000 2.548
Br 1.801 1.801 0.000
Br 2.116 -2.116 5.557
Br -2.116 2.116 5.557
Br 2.116 2.116 5.557
Br 0.000 0.000 8.565
```

=====

(5)
Diffraction record for AlSn2HgBr. The powder XRD pattern is computed, not measured: it uses the PBE geometry in Alexandria and CuKα.
Lines closer than 0.1° are merged.

Largest 12 diffraction maxima, sorted by position, 10 to 90 degrees two-theta:
2theta, Rel. int.
16.41, 15.6
28.85, 100.0
33.18, 43.0
33.93, 20.2
47.63, 15.8
48.19, 30.5
56.64, 31.1
57.63, 14.8
59.76, 16.2
77.92, 12.8
79.35, 7.4
89.17, 11.7

Cell and atoms:
```
5
Lattice="5.400 0.000 0.000 0.000 5.400 0.000 0.000 0.000 5.284" Properties=species:S:1:pos:R:3 pbc="T T T"
Al 0.000 0.000 0.000
Sn 0.000 2.700 0.000
Sn 2.700 0.000 0.000
Hg 0.000 0.000 2.642
Br 2.700 2.700 2.642
```

=====

(6)
Diffraction record for MnAl2I6Br2. The powder XRD pattern is computed, not measured: it uses the PBE geometry in Alexandria and CuKα.
Lines closer than 0.1° are merged.

Largest 12 diffraction maxima, sorted by position, 10 to 90 degrees two-theta:
2theta, Rel. int.
16.35, 23.1
25.36, 29.6
25.82, 100.0
29.77, 75.6
42.31, 30.0
42.90, 34.0
49.98, 15.1
50.49, 25.9
50.75, 15.0
53.09, 14.2
68.58, 11.9
70.54, 11.8

Cell and atoms:
```
11
Lattice="7.303 0.000 0.000 -3.651 6.324 0.000 0.000 0.000 10.535" Properties=species:S:1:pos:R:3 pbc="T T T"
Mn 0.000 0.000 0.000
Al 0.000 4.216 7.956
Al 3.651 2.108 2.579
I -2.462 4.281 8.809
I 1.175 2.051 8.809
I 2.364 0.008 1.726
I 1.288 6.316 8.809
I 2.477 4.273 1.726
I 6.114 2.043 1.726
Br 0.000 4.216 5.691
Br 3.651 2.108 4.844
```

=====

(7)
Diffraction record for AlIn2Br5. The powder XRD pattern is computed, not measured: it uses the PBE geometry in Alexandria and CuKα.
Lines closer than 0.1° are merged.

Largest 12 diffraction maxima, sorted by position, 10 to 90 degrees two-theta:
2theta, Rel. int.
10.32, 45.5
17.93, 46.4
21.11, 33.4
25.29, 31.6
27.21, 91.6
27.54, 84.8
27.85, 100.0
29.07, 63.2
30.06, 43.2
32.96, 32.0
35.23, 33.5
36.68, 37.6

Cell and atoms:
```
32
Lattice="10.033 -4.946 0.000 10.033 4.946 0.000 -7.835 0.000 12.894" Properties=species:S:1:pos:R:3 pbc="T T T"
Al 0.896 0.798 4.168
Al -3.022 -0.798 10.614
Al 15.252 0.798 2.279
Al 11.334 -0.798 8.726
In 5.980 1.687 2.316
In 4.991 2.062 7.056
In 3.322 2.062 12.285
In 10.168 1.687 4.131
In 2.062 -1.687 8.763
In 8.908 -2.062 0.609
In 7.240 -2.062 5.838
In 6.250 -1.687 10.577
Br -3.599 0.368 8.681
Br 0.318 -0.368 2.234
Br -4.093 0.177 12.432
Br 2.053 1.947 8.997
Br -0.176 -0.177 5.985
Br 3.203 0.734 4.463
Br -0.715 -0.734 10.910
Br 8.874 0.962 1.375
Br 7.274 0.962 5.072
Br 6.259 1.947 10.343
Br 5.971 -1.947 2.551
Br 4.956 -0.962 7.822
Br 3.356 -0.962 11.519
Br 12.945 0.734 1.984
Br 9.027 -0.734 8.431
Br 12.406 0.177 6.908
Br 10.177 -1.947 3.896
Br 16.323 -0.177 0.461
Br 11.912 0.368 10.660
Br 15.830 -0.368 4.213
```

=====

(8)
Diffraction record for Al2InBr6. The powder XRD pattern is computed, not measured: it uses the PBE geometry in Alexandria and CuKα.
Lines closer than 0.1° are merged.

Largest 12 diffraction maxima, sorted by position, 10 to 90 degrees two-theta:
2theta, Rel. int.
12.64, 36.5
16.53, 50.5
18.86, 60.3
20.20, 35.9
23.09, 34.0
26.96, 62.2
27.12, 100.0
29.04, 30.1
30.24, 54.3
31.02, 36.4
42.75, 32.2
46.21, 37.9

Cell and atoms:
```
18
Lattice="7.573 -6.707 0.000 7.573 6.707 0.000 -3.245 0.000 7.703" Properties=species:S:1:pos:R:3 pbc="T T T"
Al 2.536 1.081 1.665
Al 0.914 -1.081 5.517
Al 10.986 1.081 2.186
Al 9.364 -1.081 6.037
In 5.139 1.865 5.777
In 6.761 -1.865 1.926
Br 2.193 3.323 6.244
Br 0.914 0.029 3.267
Br -0.709 -0.029 7.119
Br 4.707 0.823 2.567
Br 8.084 3.323 5.311
Br 3.085 -0.823 6.418
Br 8.816 0.823 1.285
Br 3.816 -3.323 2.392
Br 7.193 -0.823 5.136
Br 12.609 0.029 0.584
Br 10.986 -0.029 4.436
Br 9.707 -3.323 1.459
```

=====

(9)
Diffraction record for K6Al3Br14. The powder XRD pattern is computed, not measured: it uses the PBE geometry in Alexandria and CuKα.
Lines closer than 0.1° are merged.

Largest 12 diffraction maxima, sorted by position, 10 to 90 degrees two-theta:
2theta, Rel. int.
15.96, 20.5
22.22, 34.2
26.12, 100.0
28.63, 55.5
28.76, 51.0
30.44, 47.5
31.07, 20.4
32.23, 21.2
33.46, 27.0
36.64, 22.0
47.56, 33.3
48.27, 20.0

Cell and atoms:
```
23
Lattice="12.225 0.000 0.000 -6.113 10.587 0.000 0.000 0.000 6.525" Properties=species:S:1:pos:R:3 pbc="T T T"
K -0.740 3.591 0.000
K -2.632 9.432 0.000
K 2.817 4.558 3.485
K 6.869 0.160 3.485
K 3.372 8.151 0.000
K 8.652 5.869 3.485
Al 0.000 0.000 4.016
Al 0.000 7.058 1.844
Al 6.113 3.529 0.915
Br 0.000 0.000 1.707
Br -2.562 6.240 0.172
Br -0.456 4.862 3.140
Br 1.703 1.372 4.849
Br -1.674 8.551 3.140
Br 1.990 5.249 0.172
Br 4.447 2.106 1.735
Br 0.572 9.686 0.172
Br 2.130 7.762 3.140
Br 6.113 3.529 5.119
Br 5.713 5.683 1.735
Br 8.178 2.798 1.735
Br 10.185 0.788 4.849
Br 6.450 8.427 4.849
```

=====

(10)
Diffraction record for K2AlBr5. The powder XRD pattern is computed, not measured: it uses the PBE geometry in Alexandria and CuKα.
Lines closer than 0.1° are merged.

Largest 12 diffraction maxima, sorted by position, 10 to 90 degrees two-theta:
2theta, Rel. int.
11.80, 31.6
13.49, 35.6
19.57, 28.4
23.80, 51.8
23.99, 100.0
24.64, 39.5
25.54, 39.8
26.26, 22.4
27.28, 32.6
31.60, 45.4
34.55, 25.7
34.97, 33.9

Cell and atoms:
```
32
Lattice="12.194 0.000 0.000 0.000 13.575 0.000 0.000 0.000 9.507" Properties=species:S:1:pos:R:3 pbc="T T T"
K 0.000 0.000 2.140
K 0.000 0.000 7.367
K 1.583 4.476 0.000
K 4.514 11.264 4.753
K 6.097 6.788 2.614
K 6.097 6.788 6.893
K 7.680 2.311 4.753
K 10.611 9.099 0.000
Al 3.042 3.048 4.753
Al 3.055 9.836 0.000
Al 9.140 3.739 0.000
Al 9.152 10.527 4.753
Br 0.846 2.251 4.753
Br 1.608 7.984 0.000
Br 1.726 1.447 0.000
Br 2.636 11.121 1.893
Br 2.636 11.121 7.614
Br 3.461 4.333 2.861
Br 3.461 4.333 6.646
Br 4.371 8.234 4.753
Br 4.489 1.197 4.753
Br 5.252 9.039 0.000
Br 6.943 4.536 0.000
Br 7.705 12.378 4.753
Br 7.824 5.341 4.753
Br 8.733 9.242 2.861
Br 8.733 9.242 6.646
Br 9.558 2.454 1.893
Br 9.558 2.454 7.614
Br 10.468 12.128 0.000
Br 10.586 5.591 0.000
Br 11.349 11.324 4.753
```

=====

(11)
Diffraction record for KAlBr4. The powder XRD pattern is computed, not measured: it uses the PBE geometry in Alexandria and CuKα.
Lines closer than 0.1° are merged.

Largest 12 diffraction maxima, sorted by position, 10 to 90 degrees two-theta:
2theta, Rel. int.
15.70, 44.2
25.49, 55.2
26.85, 43.6
27.39, 51.5
27.57, 100.0
27.61, 66.4
29.96, 33.8
30.19, 27.6
30.46, 31.3
31.10, 38.6
36.73, 28.7
49.85, 26.4

Cell and atoms:
```
24
Lattice="9.148 0.000 0.000 0.000 7.680 0.000 -3.220 0.000 13.023" Properties=species:S:1:pos:R:3 pbc="T T T"
K -0.805 0.707 3.256
K -2.415 6.973 9.767
K 2.159 2.793 9.767
K 3.769 4.886 3.256
Al 2.474 1.636 0.670
Al 0.864 6.043 7.181
Al 5.064 1.636 5.842
Al 3.454 6.043 12.353
Br 1.020 3.149 1.698
Br -0.590 4.531 8.210
Br -0.869 1.888 11.371
Br 0.741 5.791 4.859
Br 0.170 0.518 7.754
Br 1.780 7.162 1.242
Br 2.895 2.085 5.160
Br 1.285 5.595 11.671
Br 4.643 2.085 1.352
Br 3.033 5.595 7.863
Br 4.148 0.518 11.781
Br 5.758 7.162 5.269
Br 5.187 1.888 8.164
Br 6.797 5.791 1.652
Br 6.518 3.149 4.813
Br 4.908 4.531 11.325
```

=====

(12)
Diffraction record for KAlTl2Br6. The powder XRD pattern is computed, not measured: it uses the PBE geometry in Alexandria and CuKα.
Lines closer than 0.1° are merged.

Largest 12 diffraction maxima, sorted by position, 10 to 90 degrees two-theta:
2theta, Rel. int.
10.96, 93.6
17.49, 19.7
23.64, 18.4
25.97, 18.9
26.12, 15.8
27.36, 19.5
29.56, 100.0
35.40, 65.8
36.12, 15.7
48.37, 25.7
50.21, 13.7
57.71, 14.3

Cell and atoms:
```
10
Lattice="7.527 0.000 0.000 -3.764 6.519 0.000 0.000 0.000 8.072" Properties=species:S:1:pos:R:3 pbc="T T T"
K 0.000 0.000 0.000
Al 0.000 0.000 4.036
Tl 0.000 4.346 3.153
Tl 3.764 2.173 4.919
Br 0.000 2.070 5.508
Br -1.971 5.483 5.508
Br 1.793 1.035 2.564
Br 1.971 5.483 5.508
Br 5.734 1.035 2.564
Br 3.764 4.448 2.564
```